This entry pairs a crystal structure of Fe4Te3Se with its simulated X-ray diffraction stick pattern. Radiation: a wavelength of 1.5418 Å. Structure: a crystal structure in Alexandria, relaxed with PBE.
Lines closer than 0.1° are merged.

Atomic structure:
Unit cell a=5.1119 b=5.1119 c=13.1066 alpha=90.00 beta=90.00 gamma=90.00
Space group I4mm (No. 107)
Unique sites:
Fe 0.2489 0.2489 0.0000 [8 per cell]
Te 0.0000 0.0000 0.6408 [2 per cell]
Te 0.0000 0.5000 0.3586 [4 per cell]
Se 0.0000 0.0000 0.1226 [2 per cell]

Top 10 peaks for 2θ = 10–80°, in order of rising 2θ:
| d [Å] | 2theta | Rel. int. | index |
| --- | --- | --- | --- |
| 6.553 | 13.51 | 22 | 0 0 2 |
| 3.165 | 28.19 | 100 | 1 1 2 |
| 2.381 | 37.78 | 22 | 2 0 2 |
| 2.184 | 41.33 | 9 | 0 0 6 |
| 2.015 | 44.98 | 60 | 2 0 4 |
| 1.870 | 48.71 | 17 | 1 1 6 |
| 1.807 | 50.50 | 23 | 2 2 0 |
| 1.569 | 58.84 | 25 | 3 1 2 |
| 1.299 | 72.78 | 10 | 3 1 6 |
| 1.214 | 78.86 | 8 | 2 2 8 |

=====

This entry pairs a crystal structure of Th2Fe5Ni5 with its simulated X-ray diffraction stick pattern. Radiation: a wavelength of 1.5418 Å. Structure: a crystal structure in Alexandria, relaxed with PBE.
Lines closer than 0.1° are merged.

Atomic structure:
Unit cell a=4.0011 b=5.0578 c=8.6464 alpha=90.00 beta=90.00 gamma=90.00
Space group Pmmm (No. 47)
Unique sites:
Th 0.0000 0.0000 0.0000 [1 per cell]
Th 0.0000 0.5000 0.5000 [1 per cell]
Fe 0.0000 0.0000 0.3335 [2 per cell]
Fe 0.0000 0.5000 0.1595 [2 per cell]
Fe 0.5000 0.5000 0.0000 [1 per cell]
Ni 0.5000 0.0000 0.5000 [1 per cell]
Ni 0.5000 0.2487 0.2505 [4 per cell]

Top 10 peaks for 2θ = 10–80°, in order of rising 2θ:
| d [Å] | 2theta | Rel. int. | index |
| --- | --- | --- | --- |
| 2.950 | 30.30 | 77 | 1 1 1 |
| 2.936 | 30.44 | 43 | 1 0 2 |
| 2.504 | 35.86 | 39 | 0 1 3 |
| 2.183 | 41.36 | 44 | 0 2 2 |
| 2.162 | 41.79 | 20 | 0 0 4 |
| 2.138 | 42.28 | 53 | 1 2 0 |
| 2.123 | 42.59 | 100 | 1 1 3 |
| 2.001 | 45.33 | 36 | 2 0 0 |
| 1.475 | 63.03 | 25 | 2 2 2 |
| 1.368 | 68.63 | 23 | 1 3 3 |

=====

This entry pairs a crystal structure of KCd4Hg2Pb with its simulated X-ray diffraction stick pattern. Radiation: a wavelength of 1.5418 Å. Structure: a crystal structure in Alexandria, relaxed with PBE.
Lines closer than 0.1° are merged.

Atomic structure:
Unit cell a=4.7178 b=4.7178 c=10.7402 alpha=90.00 beta=90.00 gamma=90.00
Space group P4/mmm (No. 123)
Unique sites:
K 0.0000 0.0000 0.0000 [1 per cell]
Cd 0.0000 0.5000 0.3083 [4 per cell]
Hg 0.5000 0.5000 0.1367 [2 per cell]
Pb 0.0000 0.0000 0.5000 [1 per cell]

Top 10 peaks for 2θ = 10–80°, in order of rising 2θ:
| d [Å] | 2theta | Rel. int. | index |
| --- | --- | --- | --- |
| 4.319 | 20.56 | 91 | 1 0 1 |
| 3.544 | 25.13 | 30 | 1 0 2 |
| 2.834 | 31.57 | 51 | 1 1 2 |
| 2.441 | 36.83 | 100 | 1 1 3 |
| 2.359 | 38.15 | 67 | 2 0 0 |
| 2.334 | 38.58 | 42 | 1 0 4 |
| 2.070 | 43.72 | 28 | 2 1 1 |
| 1.668 | 55.06 | 23 | 2 2 0 |
| 1.659 | 55.38 | 30 | 2 1 4 |
| 1.377 | 68.09 | 33 | 3 1 3 |

=====

What did the first record say?
This entry pairs a crystal structure of Fe4Te3Se with its simulated X-ray diffraction stick pattern. Radiation: a wavelength of 1.5418 Å. Structure: a crystal structure in Alexandria, relaxed with PBE.
Lines closer than 0.1° are merged.

Atomic structure:
Unit cell a=5.1119 b=5.1119 c=13.1066 alpha=90.00 beta=90.00 gamma=90.00
Space group I4mm (No. 107)
Unique sites:
Fe 0.2489 0.2489 0.0000 [8 per cell]
Te 0.0000 0.0000 0.6408 [2 per cell]
Te 0.0000 0.5000 0.3586 [4 per cell]
Se 0.0000 0.0000 0.1226 [2 per cell]

Top 10 peaks for 2θ = 10–80°, in order of rising 2θ:
| d [Å] | 2theta | Rel. int. | index |
| --- | --- | --- | --- |
| 6.553 | 13.51 | 22 | 0 0 2 |
| 3.165 | 28.19 | 100 | 1 1 2 |
| 2.381 | 37.78 | 22 | 2 0 2 |
| 2.184 | 41.33 | 9 | 0 0 6 |
| 2.015 | 44.98 | 60 | 2 0 4 |
| 1.870 | 48.71 | 17 | 1 1 6 |
| 1.807 | 50.50 | 23 | 2 2 0 |
| 1.569 | 58.84 | 25 | 3 1 2 |
| 1.299 | 72.78 | 10 | 3 1 6 |
| 1.214 | 78.86 | 8 | 2 2 8 |